1.
This entry pairs a crystal structure of BaBr2O11 with its calculated X-ray diffraction stick pattern. Radiation: Cu Kα (λ = 1.5418 Å). Structure: DFT lattice parameters and positions (PBE).
No peak broadening, texture or thermal motion is included.

Structural model:
```
data_BaBr2O11
_chemical_formula_sum 'Ba2 Br4 O22'
_cell_length_a 7.0711
_cell_length_b 7.0711
_cell_length_c 11.9861
_cell_angle_alpha 90.00
_cell_angle_beta 90.00
_cell_angle_gamma 120.00
_symmetry_space_group_name_H-M 'P 63/m'
_symmetry_Int_Tables_number 176
_symmetry_space_group_name_Hall '-P 6c'
loop_
_atom_site_label
_atom_site_type_symbol
_atom_site_fract_x
_atom_site_fract_y
_atom_site_fract_z
Ba1 Ba 0.0000 0.0000 0.0000
Br1 Br 0.3333 0.6667 0.0319
O1 O 0.0498 0.9140 0.7500
O2 O 0.1589 0.7368 0.0824
O3 O 0.3333 0.6667 0.6043
```

Main lines, low angle first (10 to 90 degrees two-theta):
| d (Å) | Position (°2θ) | I (rel.) |
| --- | --- | --- |
| 5.993 | 14.78 | 86 |
| 3.536 | 25.19 | 100 |
| 3.045 | 29.33 | 76 |
| 2.286 | 39.42 | 32 |
| 2.041 | 44.38 | 16 |
| 1.932 | 47.03 | 24 |
| 1.696 | 54.09 | 18 |
| 1.304 | 72.47 | 17 |

2.
This entry pairs a crystal structure of KI with its calculated X-ray diffraction stick pattern. Radiation: Cu Kα (λ = 1.5418 Å). Structure: DFT lattice parameters and positions (PBE).
No peak broadening, texture or thermal motion is included.

Structural model:
```
data_KI
_chemical_formula_sum 'K1 I1'
_cell_length_a 4.3464
_cell_length_b 4.3464
_cell_length_c 4.3464
_cell_angle_alpha 90.00
_cell_angle_beta 90.00
_cell_angle_gamma 90.00
_symmetry_space_group_name_H-M 'P m -3 m'
_symmetry_Int_Tables_number 221
_symmetry_space_group_name_Hall '-P 4 2 3'
loop_
_atom_site_label
_atom_site_type_symbol
_atom_site_fract_x
_atom_site_fract_y
_atom_site_fract_z
K1 K 0.0000 0.0000 0.0000
I1 I 0.5000 0.5000 0.5000
```

Main lines, low angle first (10 to 90 degrees two-theta):
| d (Å) | Position (°2θ) | I (rel.) |
| --- | --- | --- |
| 4.346 | 20.43 | 30 |
| 3.073 | 29.05 | 100 |
| 2.173 | 41.56 | 18 |
| 1.944 | 46.73 | 14 |
| 1.774 | 51.50 | 38 |
| 1.537 | 60.22 | 12 |
| 1.374 | 68.24 | 16 |
| 1.162 | 83.16 | 19 |

3.
This entry pairs a crystal structure of Zn3Sn with its calculated X-ray diffraction stick pattern. Radiation: Cu Kα (λ = 1.5418 Å). Structure: DFT lattice parameters and positions (PBE).
No peak broadening, texture or thermal motion is included.

Structural model:
```
data_Zn3Sn
_chemical_formula_sum 'Zn6 Sn2'
_cell_length_a 4.1447
_cell_length_b 4.1447
_cell_length_c 8.7306
_cell_angle_alpha 90.00
_cell_angle_beta 90.00
_cell_angle_gamma 90.00
_symmetry_space_group_name_H-M 'I 4/m m m'
_symmetry_Int_Tables_number 139
_symmetry_space_group_name_Hall '-I 4 2'
loop_
_atom_site_label
_atom_site_type_symbol
_atom_site_fract_x
_atom_site_fract_y
_atom_site_fract_z
Zn1 Zn 0.0000 0.0000 0.0000
Zn2 Zn 0.0000 0.5000 0.2500
Sn1 Sn 0.0000 0.0000 0.5000
```

Main lines, low angle first (10 to 90 degrees two-theta):
| d (Å) | Position (°2θ) | I (rel.) |
| --- | --- | --- |
| 2.433 | 36.94 | 100 |
| 2.183 | 41.37 | 18 |
| 2.072 | 43.68 | 31 |
| 1.503 | 61.72 | 22 |
| 1.465 | 63.48 | 10 |
| 1.303 | 72.53 | 13 |
| 1.255 | 75.78 | 24 |
| 1.217 | 78.64 | 11 |

4.
This entry pairs a crystal structure of Zr5Al3 with its calculated X-ray diffraction stick pattern. Radiation: Cu Kα (λ = 1.5418 Å). Structure: DFT lattice parameters and positions (PBE).
No peak broadening, texture or thermal motion is included.

Structural model:
```
data_Zr5Al3
_chemical_formula_sum 'Zr10 Al6'
_cell_length_a 8.3453
_cell_length_b 8.3453
_cell_length_c 5.5418
_cell_angle_alpha 90.00
_cell_angle_beta 90.00
_cell_angle_gamma 120.00
_symmetry_space_group_name_H-M 'P 63/m c m'
_symmetry_Int_Tables_number 193
_symmetry_space_group_name_Hall '-P 6c 2'
loop_
_atom_site_label
_atom_site_type_symbol
_atom_site_fract_x
_atom_site_fract_y
_atom_site_fract_z
Zr1 Zr 0.0000 0.2389 0.2500
Zr2 Zr 0.3333 0.6667 0.0000
Al1 Al 0.0000 0.3931 0.7500
```

Main lines, low angle first (10 to 90 degrees two-theta):
| d (Å) | Position (°2θ) | I (rel.) |
| --- | --- | --- |
| 3.614 | 24.64 | 28 |
| 3.333 | 26.74 | 28 |
| 2.732 | 32.79 | 52 |
| 2.587 | 34.67 | 37 |
| 2.450 | 36.68 | 100 |
| 2.409 | 37.33 | 38 |
| 2.308 | 39.02 | 72 |
| 1.667 | 55.10 | 24 |

5.
This entry pairs a crystal structure of La12Au3I13 with its calculated X-ray diffraction stick pattern. Radiation: Cu Kα (λ = 1.5418 Å). Structure: DFT lattice parameters and positions (PBE).
No peak broadening, texture or thermal motion is included.

Structural model:
```
data_La12Au3I13
_chemical_formula_sum 'La36 Au9 I39'
_cell_length_a 18.1572
_cell_length_b 18.1572
_cell_length_c 11.0467
_cell_angle_alpha 90.00
_cell_angle_beta 90.00
_cell_angle_gamma 120.00
_symmetry_space_group_name_H-M 'R 3 2'
_symmetry_Int_Tables_number 155
_symmetry_space_group_name_Hall 'R 3 2"'
loop_
_atom_site_label
_atom_site_type_symbol
_atom_site_fract_x
_atom_site_fract_y
_atom_site_fract_z
La1 La 0.0000 0.2630 0.0000
La2 La 0.0000 0.4844 0.0000
La3 La 0.0773 0.1656 0.6531
Au1 Au 0.0000 0.2504 0.5000
I1 I 0.0000 0.0000 0.5000
I2 I 0.0000 0.5101 0.5000
I3 I 0.0000 0.7404 0.5000
I4 I 0.0764 0.9134 0.1545
```

Main lines, low angle first (10 to 90 degrees two-theta):
| d (Å) | Position (°2θ) | I (rel.) |
| --- | --- | --- |
| 3.203 | 27.86 | 100 |
| 2.270 | 39.71 | 37 |
| 2.260 | 39.89 | 37 |
| 1.852 | 49.20 | 19 |
| 1.601 | 57.55 | 11 |
| 1.435 | 65.00 | 15 |
| 1.430 | 65.25 | 15 |
| 1.308 | 72.20 | 11 |

> Which formula does entry 5 have?

La12Au3I13